1.
Diffraction record for La6Pm2NdSm. The PXRD pattern is simulated, not measured: it uses a DFT-relaxed cell (GGA-PBE, Alexandria) and λ = 1.5418 Å (Cu Kα).
Intensities are scaled so that the largest is 100.

Cell and atoms:
Lattice parameters (Å, degrees): 6.774 6.774 9.275 104.57 104.57 62.99
Fractional coordinates of all 10 atoms:
La  0.073  0.539  0.199
La  0.128  0.128  0.422
La  0.461  0.927  0.801
La  0.539  0.073  0.199
La  0.872  0.872  0.578
La  0.927  0.461  0.801
Pm  0.423  0.423  0.829
Pm  0.577  0.577  0.171
Nd  0.000  0.000  0.000
Sm  0.500  0.500  0.500

Principal peaks in the range 5° ≤ 2θ ≤ 70°, sorted by position:
d_spacing  2theta  I (rel.)
3.312  26.9  22
3.040  29.4  42
2.974  30.0  100
2.888  31.0  28
2.832  31.6  56
2.765  32.4  28
1.771  51.6  28
1.681  54.6  27



2.
Diffraction record for SrPuHg5. The PXRD pattern is simulated, not measured: it uses a DFT-relaxed cell (GGA-PBE, Alexandria) and λ = 1.5418 Å (Cu Kα).
Intensities are scaled so that the largest is 100.

Cell and atoms:
Lattice parameters (Å, degrees): 4.717 4.727 9.219 90.00 90.00 90.00
Fractional coordinates of all 7 atoms:
Sr  0.000  0.000  0.000
Pu  0.500  0.500  0.500
Hg  0.000  0.500  0.268
Hg  0.000  0.500  0.732
Hg  0.500  0.000  0.268
Hg  0.500  0.000  0.732
Hg  0.500  0.500  0.000

Principal peaks in the range 5° ≤ 2θ ≤ 70°, sorted by position:
d_spacing  2theta  I (rel.)
4.722  18.8  14
2.704  33.1  100
2.361  38.1  36
2.305  39.1  15
1.669  55.0  12
1.649  55.7  21
1.422  65.7  14
1.419  65.8  14



3.
Diffraction record for Sn3Br4Cl2. The PXRD pattern is simulated, not measured: it uses a DFT-relaxed cell (GGA-PBE, Alexandria) and λ = 1.5418 Å (Cu Kα).
Intensities are scaled so that the largest is 100.

Cell and atoms:
Lattice parameters (Å, degrees): 4.163 4.163 22.163 90.00 90.00 120.00
Fractional coordinates of all 9 atoms:
Sn  0.000  0.000  0.000
Sn  0.333  0.667  0.322
Sn  0.333  0.667  0.678
Br  0.000  0.000  0.238
Br  0.000  0.000  0.406
Br  0.000  0.000  0.594
Br  0.000  0.000  0.762
Cl  0.333  0.667  0.075
Cl  0.333  0.667  0.925

Principal peaks in the range 5° ≤ 2θ ≤ 70°, sorted by position:
d_spacing  2theta  I (rel.)
7.388  12.0  88
3.606  24.7  62
3.240  27.5  27
3.022  29.6  22
2.797  32.0  100
2.580  34.8  26
2.197  41.1  42
2.082  43.5  49